For Mg14AlMo, a structure optimized by DFT (GGA-PBE) gives the simulated X-ray powder pattern in this record (Cu Kα X-rays).
Neutral-atom scattering factors, no anomalous dispersion.

Largest 6 diffraction maxima, by intensity, 2θ = 10–90°:
Position (°2θ)  Rel. int.  h k l
37.78  100  2 0 2
33.05  26  2 0 0
36.03  25  0 0 4
71.14  19  2 2 4
65.94  18  2 0 6
18.63  17  1 0 1

Structure:
a = 6.2588 Å, b = 6.2588 Å, c = 9.9711 Å
α = 90.00°, β = 90.00°, γ = 120.00°
Space group P-6m2 (No. 187)
Unique sites:
Mg1 0.0000 0.0000 0.2490
Mg2 0.0148 0.5074 0.2455
Mg3 0.3333 0.1666 0.5000
Mg4 0.3344 0.1672 0.0000
Al1 0.3333 0.6667 0.5000
Mo1 0.3333 0.6667 0.0000


For Pr6S4N3Cl, a structure optimized by DFT (GGA-PBE) gives the simulated X-ray powder pattern in this record (Cu Kα X-rays).
Neutral-atom scattering factors, no anomalous dispersion.

Largest 6 diffraction maxima, by intensity, 2θ = 10–90°:
Position (°2θ)  Rel. int.  h k l
26.12  100  3 0 4
26.69  93  1 1 4
37.51  32  4 1 0
52.39  31  3 2 4
44.56  29  0 2 0
28.51  27  1 1 5

Structure:
a = 11.871 Å, b = 4.066 Å, c = 26.948 Å
α = 90.00°, β = 90.00°, γ = 90.00°
Space group Pnma (No. 62)
Unique sites:
Pr1 0.055 0.250 0.191
Pr2 0.058 0.250 0.926
Pr3 0.088 0.250 0.460
Pr4 0.117 0.250 0.705
Pr5 0.235 0.750 0.565
Pr6 0.235 0.750 0.831
S1 0.045 0.750 0.635
S2 0.146 0.750 0.007
S3 0.182 0.750 0.141
S4 0.214 0.750 0.396
N1 0.062 0.750 0.876
N2 0.098 0.750 0.510
N3 0.112 0.750 0.760
Cl1 0.132 0.750 0.267


For In2O3, a structure optimized by DFT (GGA-PBE) gives the simulated X-ray powder pattern in this record (Cu Kα X-rays).
Neutral-atom scattering factors, no anomalous dispersion.

Largest 6 diffraction maxima, by intensity, 2θ = 10–90°:
Position (°2θ)  Rel. int.  h k l
31.57  100  1 0 4
32.62  93  1 1 1
30.50  43  2 0 0
34.90  40  0 1 3
47.02  32  2 1 3
44.17  28  2 1 2

Structure:
a = 5.861 Å, b = 3.201 Å, c = 12.948 Å
α = 90.00°, β = 90.00°, γ = 90.00°
Space group Pnma (No. 62)
Unique sites:
In1 0.174 0.250 0.195
In2 0.234 0.750 0.452
O1 0.021 0.250 0.401
O2 0.120 0.750 0.067
O3 0.150 0.250 0.778


What did the third record say?
For In2O3, a structure optimized by DFT (GGA-PBE) gives the simulated X-ray powder pattern in this record (Cu Kα X-rays).
Neutral-atom scattering factors, no anomalous dispersion.

Largest 6 diffraction maxima, by intensity, 2θ = 10–90°:
Position (°2θ)  Rel. int.  h k l
31.57  100  1 0 4
32.62  93  1 1 1
30.50  43  2 0 0
34.90  40  0 1 3
47.02  32  2 1 3
44.17  28  2 1 2

Structure:
a = 5.861 Å, b = 3.201 Å, c = 12.948 Å
α = 90.00°, β = 90.00°, γ = 90.00°
Space group Pnma (No. 62)
Unique sites:
In1 0.174 0.250 0.195
In2 0.234 0.750 0.452
O1 0.021 0.250 0.401
O2 0.120 0.750 0.067
O3 0.150 0.250 0.778